Diffraction record for Li9Mn2Co5O16. The powder X-ray diffraction pattern is calculated, not measured: it uses a DFT-relaxed cell (PBE+U, the Materials Project) and λ = 1.5418 Å (Cu Kα).
Neutral-atom scattering factors, no anomalous dispersion.

Largest 12 diffraction maxima, low angle first, 5 to 70 degrees two-theta:
d = 9.936 Å, rel. 6
d = 4.848 Å, rel. 100
d = 2.527 Å, rel. 15
d = 2.483 Å, rel. 25
d = 2.396 Å, rel. 8
d = 2.110 Å, rel. 29
d = 2.067 Å, rel. 26
d = 2.062 Å, rel. 27
d = 1.483 Å, rel. 8
d = 1.480 Å, rel. 7
d = 1.469 Å, rel. 22
d = 1.451 Å, rel. 7

Lattice parameters (Å, degrees): 5.1133 5.8812 10.4743 74.56 76.34 74.44
Space group P1 (No. 1)
Inequivalent atoms, fractional coordinates:
Li 0.0000 0.0000 0.0000 x1
Li 0.0004 0.2588 0.4837 x1
Li 0.0016 0.5031 0.9964 x1
Li 0.0017 0.8887 0.7399 x1
Li 0.0034 0.3775 0.7419 x1
Li 0.0052 0.6442 0.2344 x1
Li 0.0057 0.1284 0.2386 x1
Li 0.4989 0.8237 0.1146 x1
Li 0.9981 0.7654 0.4843 x1
Mn 0.4986 0.0721 0.6145 x1
Mn 0.5075 0.1895 0.8665 x1
Co 0.4968 0.9461 0.3578 x1
Co 0.5012 0.3174 0.1140 x1
Co 0.5020 0.6947 0.8676 x1
Co 0.5029 0.5723 0.6134 x1
Co 0.5068 0.4567 0.3530 x1
O 0.2636 0.2865 0.3004 x1
O 0.2639 0.7850 0.3111 x1
O 0.2666 0.9234 0.5584 x1
O 0.2736 0.0563 0.7950 x1
O 0.2764 0.1772 0.0388 x1
O 0.2778 0.6570 0.0376 x1
O 0.2900 0.3981 0.5544 x1
O 0.2971 0.5245 0.7969 x1
O 0.7104 0.7424 0.6799 x1
O 0.7201 0.8688 0.9171 x1
O 0.7214 0.0978 0.4391 x1
O 0.7274 0.6028 0.4411 x1
O 0.7293 0.2149 0.6826 x1
O 0.7371 0.4674 0.1853 x1
O 0.7367 0.9900 0.1825 x1
O 0.7414 0.3377 0.9232 x1